No. 1
For Tb5CdIn6, a crystal structure in Alexandria, relaxed with GGA-PBE gives the calculated PXRD pattern in this record (CuKα).
Peak positions follow from Bragg's law for the DFT cell and can differ from measured ones.

Top 6 peaks for 2θ from 10° to 90°, in order of rising 2θ:
32.89°, I = 100
36.59°, I = 17
37.31°, I = 18
40.47°, I = 14
63.55°, I = 12
64.51°, I = 14

Cell and atoms:
```
12
Lattice="-2.410 4.458 7.367 2.410 -4.458 7.367 2.410 4.458 -7.367" Properties=species:S:1:pos:R:3 pbc="T T T"
Tb 0.000 0.000 0.000
Tb 2.410 0.000 2.511
Tb 0.000 0.000 5.166
Tb 0.000 0.000 9.568
Tb 0.000 4.458 4.856
Cd 0.000 4.458 0.000
In 2.410 -2.259 4.849
In 2.410 2.168 0.000
In 0.000 2.199 2.518
In 2.410 2.259 4.849
In 0.000 2.289 7.367
In 0.000 6.716 2.518
```



No. 2
For Hf2CoCu, a crystal structure in Alexandria, relaxed with GGA-PBE gives the calculated PXRD pattern in this record (CuKα).
Peak positions follow from Bragg's law for the DFT cell and can differ from measured ones.

Top 6 peaks for 2θ from 10° to 90°, in order of rising 2θ:
28.25°, I = 60
35.55°, I = 55
36.72°, I = 44
36.98°, I = 100
43.19°, I = 41
43.80°, I = 41

Cell and atoms:
```
8
Lattice="5.336 0.000 0.000 0.000 4.134 0.000 -2.607 0.000 6.013" Properties=species:S:1:pos:R:3 pbc="T T T"
Hf -0.019 1.034 2.550
Hf -1.118 1.034 5.498
Hf 3.846 3.101 0.515
Hf 2.748 3.101 3.463
Co -0.015 3.101 4.238
Co 2.744 1.034 1.775
Cu 1.191 3.101 1.224
Cu 1.538 1.034 4.789
```



No. 3
For Pu2PaPt, a crystal structure in Alexandria, relaxed with GGA-PBE gives the calculated PXRD pattern in this record (CuKα).
Peak positions follow from Bragg's law for the DFT cell and can differ from measured ones.

Top 6 peaks for 2θ from 10° to 90°, in order of rising 2θ:
34.55°, I = 61
37.19°, I = 100
49.66°, I = 22
63.65°, I = 43
68.72°, I = 17
79.25°, I = 12

Cell and atoms:
```
4
Lattice="5.192 0.000 0.000 0.000 5.192 0.000 0.000 0.000 3.212" Properties=species:S:1:pos:R:3 pbc="T T T"
Pu 0.000 2.596 0.000
Pu 2.596 0.000 0.000
Pa 0.000 0.000 1.606
Pt 2.596 2.596 1.606
```



No. 4
For CuOs2Pt, a crystal structure in Alexandria, relaxed with GGA-PBE gives the calculated PXRD pattern in this record (CuKα).
Peak positions follow from Bragg's law for the DFT cell and can differ from measured ones.

Top 6 peaks for 2θ from 10° to 90°, in order of rising 2θ:
40.47°, I = 100
40.82°, I = 94
46.86°, I = 63
48.13°, I = 30
69.44°, I = 39
82.39°, I = 25

Cell and atoms:
```
4
Lattice="2.760 0.000 0.000 0.000 3.781 0.000 0.000 0.000 5.449" Properties=species:S:1:pos:R:3 pbc="T T T"
Cu 0.000 0.000 0.000
Os 0.000 0.000 2.607
Os 1.380 1.890 1.427
Pt 1.380 1.890 4.176
```



No. 5
For ThMn4Nb, a crystal structure in Alexandria, relaxed with GGA-PBE gives the calculated PXRD pattern in this record (CuKα).
Peak positions follow from Bragg's law for the DFT cell and can differ from measured ones.

Top 6 peaks for 2θ from 10° to 90°, in order of rising 2θ:
21.43°, I = 30
35.35°, I = 66
41.71°, I = 100
63.45°, I = 25
67.80°, I = 31
74.78°, I = 20

Cell and atoms:
```
6
Lattice="0.000 3.591 3.591 3.591 0.000 3.591 3.591 3.591 0.000" Properties=species:S:1:pos:R:3 pbc="T T T"
Th 0.000 0.000 0.000
Mn 2.697 2.697 2.697
Mn 4.485 4.485 2.697
Mn 4.485 2.697 4.485
Mn 2.697 4.485 4.485
Nb 5.387 5.387 5.387
```



No. 6
For Dy3ErSc3, a crystal structure in Alexandria, relaxed with GGA-PBE gives the calculated PXRD pattern in this record (CuKα).
Peak positions follow from Bragg's law for the DFT cell and can differ from measured ones.

Top 6 peaks for 2θ from 10° to 90°, in order of rising 2θ:
25.04°, I = 97
30.27°, I = 71
32.63°, I = 37
33.31°, I = 100
33.72°, I = 80
34.16°, I = 39

Cell and atoms:
```
14
Lattice="4.144 2.392 6.931 -4.144 2.392 6.931 0.000 -4.785 6.931" Properties=species:S:1:pos:R:3 pbc="T T T"
Dy -2.073 0.462 5.926
Dy 0.637 -2.026 5.926
Dy -1.436 -1.564 14.865
Dy 1.436 1.564 5.926
Dy -0.637 2.026 14.865
Dy 2.073 -0.462 14.865
Er 0.000 0.000 3.170
Er 0.000 0.000 17.622
Sc -1.859 0.041 9.218
Sc -0.965 -1.589 11.574
Sc 0.894 -1.630 9.218
Sc -0.894 1.630 11.574
Sc 0.965 1.589 9.218
Sc 1.859 -0.041 11.574
```



No. 7
For HRh2AuICl, a crystal structure in Alexandria, relaxed with GGA-PBE gives the calculated PXRD pattern in this record (CuKα).
Peak positions follow from Bragg's law for the DFT cell and can differ from measured ones.

Top 6 peaks for 2θ from 10° to 90°, in order of rising 2θ:
17.34°, I = 92
28.67°, I = 52
35.17°, I = 100
38.51°, I = 62
45.71°, I = 54
47.31°, I = 34

Cell and atoms:
```
6
Lattice="6.036 -1.652 0.000 6.036 1.652 0.000 -3.660 0.000 5.839" Properties=species:S:1:pos:R:3 pbc="T T T"
H 0.000 0.000 0.000
Rh 3.583 0.000 3.217
Rh 6.951 0.000 0.196
Au 11.063 0.000 1.455
I -1.111 0.000 4.722
Cl 7.933 0.000 2.522
```



No. 8
For Rb3InH4, a crystal structure in Alexandria, relaxed with GGA-PBE gives the calculated PXRD pattern in this record (CuKα).
Peak positions follow from Bragg's law for the DFT cell and can differ from measured ones.

Top 6 peaks for 2θ from 10° to 90°, in order of rising 2θ:
27.15°, I = 100
30.14°, I = 20
30.61°, I = 18
33.50°, I = 16
51.73°, I = 15
52.33°, I = 14

Cell and atoms:
```
16
Lattice="10.700 0.000 0.000 0.000 5.841 0.000 0.000 0.000 5.930" Properties=species:S:1:pos:R:3 pbc="T T T"
Rb 0.000 1.274 5.928
Rb 2.659 1.557 2.965
Rb 2.691 4.285 0.000
Rb 5.350 4.568 2.963
Rb 8.009 4.285 0.000
Rb 8.041 1.557 2.965
In 0.000 4.278 2.743
In 5.350 1.564 5.708
H 0.000 0.350 3.000
H 0.000 3.946 4.633
H 2.457 4.481 3.005
H 2.893 1.361 0.040
H 5.350 1.895 1.668
H 5.350 5.491 0.036
H 7.807 1.361 0.040
H 8.243 4.481 3.005
```